Entry 1:
BaInGa4: theoretical X-ray powder pattern (Cu Kα X-rays), based on a PBE-relaxed structure.
Kinematic intensities with the Lorentz-polarization factor, no thermal factor.

Largest 10 diffraction maxima, sorted by position, 2θ = 5–70°:
2θ = 21.88°, rel. 12
2θ = 28.01°, rel. 18
2θ = 29.73°, rel. 100
2θ = 31.65°, rel. 32
2θ = 33.65°, rel. 39
2θ = 34.94°, rel. 18
2θ = 40.39°, rel. 41
2θ = 42.65°, rel. 11
2θ = 44.69°, rel. 11
2θ = 53.21°, rel. 11

Crystal structure
abc: 8.406 16.211 4.467
angles: 90.00 90.00 90.00
Fractional positions:
Ba1 0.134 0.150 0.000
Ba2 0.366 0.650 0.000
Ba3 0.634 0.350 0.000
Ba4 0.866 0.850 0.000
In1 0.145 0.409 0.000
In2 0.355 0.909 0.000
In3 0.645 0.091 0.000
In4 0.855 0.591 0.000
Ga1 0.014 0.694 0.500
Ga2 0.113 0.548 0.500
Ga3 0.134 0.966 0.500
Ga4 0.207 0.812 0.500
Ga5 0.293 0.312 0.500
Ga6 0.366 0.466 0.500
Ga7 0.387 0.048 0.500
Ga8 0.486 0.194 0.500
Ga9 0.514 0.806 0.500
Ga10 0.613 0.952 0.500
Ga11 0.634 0.534 0.500
Ga12 0.707 0.688 0.500
Ga13 0.793 0.188 0.500
Ga14 0.866 0.034 0.500
Ga15 0.887 0.452 0.500
Ga16 0.986 0.306 0.500

***

Entry 2:
Ba3InGa2: theoretical X-ray powder pattern (Cu Kα X-rays), based on a PBE-relaxed structure.
Kinematic intensities with the Lorentz-polarization factor, no thermal factor.

Largest 10 diffraction maxima, sorted by position, 2θ = 5–70°:
2θ = 23.26°, rel. 38
2θ = 26.23°, rel. 36
2θ = 27.23°, rel. 80
2θ = 27.55°, rel. 65
2θ = 28.77°, rel. 92
2θ = 29.12°, rel. 100
2θ = 29.54°, rel. 89
2θ = 31.82°, rel. 44
2θ = 36.36°, rel. 58
2θ = 40.25°, rel. 45

Crystal structure
abc: 7.951 11.524 9.674
angles: 90.00 92.39 90.00
Fractional positions:
Ba1 0.159 0.123 0.052
Ba2 0.159 0.377 0.552
Ba3 0.217 0.678 0.802
Ba4 0.217 0.822 0.302
Ba5 0.300 0.030 0.675
Ba6 0.300 0.470 0.175
Ba7 0.700 0.530 0.825
Ba8 0.700 0.970 0.325
Ba9 0.783 0.178 0.698
Ba10 0.783 0.322 0.198
Ba11 0.841 0.623 0.448
Ba12 0.841 0.877 0.948
In1 0.402 0.195 0.352
In2 0.402 0.305 0.852
In3 0.598 0.695 0.148
In4 0.598 0.805 0.648
Ga1 0.060 0.111 0.385
Ga2 0.060 0.389 0.885
Ga3 0.418 0.613 0.486
Ga4 0.418 0.887 0.986
Ga5 0.582 0.113 0.014
Ga6 0.582 0.387 0.514
Ga7 0.940 0.611 0.115
Ga8 0.940 0.889 0.615

***

Entry 3:
BaIn2Ga6: theoretical X-ray powder pattern (Cu Kα X-rays), based on a PBE-relaxed structure.
Kinematic intensities with the Lorentz-polarization factor, no thermal factor.

Largest 10 diffraction maxima, sorted by position, 2θ = 5–70°:
2θ = 23.32°, rel. 6
2θ = 30.79°, rel. 100
2θ = 40.27°, rel. 15
2θ = 40.97°, rel. 43
2θ = 47.05°, rel. 2
2θ = 47.68°, rel. 1
2θ = 52.11°, rel. 22
2θ = 58.80°, rel. 29
2θ = 67.35°, rel. 10
2θ = 68.34°, rel. 19

Crystal structure
abc: 7.630 7.630 4.479
angles: 90.00 90.00 120.00
Fractional positions:
Ba1 0.000 0.000 0.000
In1 0.333 0.667 0.000
In2 0.667 0.333 0.000
Ga1 0.000 0.341 0.500
Ga2 0.000 0.659 0.500
Ga3 0.341 0.000 0.500
Ga4 0.341 0.341 0.500
Ga5 0.659 0.000 0.500
Ga6 0.659 0.659 0.500

***

Entry 4:
Ba5InGa2: theoretical X-ray powder pattern (Cu Kα X-rays), based on a PBE-relaxed structure.
Kinematic intensities with the Lorentz-polarization factor, no thermal factor.

Largest 10 diffraction maxima, sorted by position, 2θ = 5–70°:
2θ = 23.11°, rel. 15
2θ = 24.78°, rel. 17
2θ = 27.25°, rel. 80
2θ = 28.66°, rel. 100
2θ = 32.10°, rel. 39
2θ = 42.62°, rel. 28
2θ = 45.13°, rel. 18
2θ = 48.44°, rel. 22
2θ = 56.50°, rel. 18
2θ = 57.24°, rel. 16

Crystal structure
abc: 10.781 10.781 10.781
angles: 131.72 131.72 70.67
Fractional positions:
Ba1 0.000 0.000 0.000
Ba2 0.039 0.539 0.863
Ba3 0.176 0.039 0.500
Ba4 0.324 0.824 0.863
Ba5 0.461 0.324 0.500
Ba6 0.500 0.500 0.000
Ba7 0.539 0.676 0.500
Ba8 0.676 0.176 0.137
Ba9 0.824 0.961 0.500
Ba10 0.961 0.461 0.137
In1 0.250 0.250 0.000
In2 0.750 0.750 0.000
Ga1 0.101 0.399 0.500
Ga2 0.399 0.899 0.297
Ga3 0.601 0.101 0.703
Ga4 0.899 0.601 0.500

***

Entry 5:
BaMgIn2Ga: theoretical X-ray powder pattern (Cu Kα X-rays), based on a PBE-relaxed structure.
Kinematic intensities with the Lorentz-polarization factor, no thermal factor.

Largest 10 diffraction maxima, sorted by position, 2θ = 5–70°:
2θ = 26.11°, rel. 57
2θ = 28.63°, rel. 100
2θ = 29.97°, rel. 71
2θ = 37.26°, rel. 68
2θ = 39.52°, rel. 21
2θ = 41.31°, rel. 51
2θ = 47.65°, rel. 48
2θ = 53.71°, rel. 23
2θ = 56.83°, rel. 39
2θ = 62.73°, rel. 17

Crystal structure
abc: 7.015 7.015 7.015
angles: 139.75 139.75 58.23
Fractional positions:
Ba1 0.000 0.000 0.000
Mg1 0.750 0.250 0.500
In1 0.381 0.381 0.000
In2 0.619 0.619 0.000
Ga1 0.250 0.750 0.500

***

Entry 6:
Ba2In6GaPd: theoretical X-ray powder pattern (Cu Kα X-rays), based on a PBE-relaxed structure.
Kinematic intensities with the Lorentz-polarization factor, no thermal factor.

Largest 10 diffraction maxima, sorted by position, 2θ = 5–70°:
2θ = 13.84°, rel. 37
2θ = 26.96°, rel. 33
2θ = 27.12°, rel. 35
2θ = 27.33°, rel. 34
2θ = 27.91°, rel. 54
2θ = 28.11°, rel. 100
2θ = 33.98°, rel. 34
2θ = 36.78°, rel. 36
2θ = 37.63°, rel. 33
2θ = 42.38°, rel. 38

Crystal structure
abc: 7.288 7.318 7.628
angles: 62.52 61.52 60.94
Fractional positions:
Ba1 0.193 0.190 0.433
Ba2 0.807 0.810 0.567
In1 0.160 0.648 0.860
In2 0.333 0.160 0.860
In3 0.349 0.673 0.140
In4 0.651 0.327 0.860
In5 0.667 0.840 0.140
In6 0.840 0.352 0.140
Ga1 0.500 0.500 0.500
Pd1 0.000 0.000 0.000

***

Entry 7:
Ba2TlIn3Ga4: theoretical X-ray powder pattern (Cu Kα X-rays), based on a PBE-relaxed structure.
Kinematic intensities with the Lorentz-polarization factor, no thermal factor.

Largest 10 diffraction maxima, sorted by position, 2θ = 5–70°:
2θ = 26.69°, rel. 16
2θ = 29.74°, rel. 52
2θ = 30.03°, rel. 100
2θ = 36.35°, rel. 68
2θ = 40.97°, rel. 27
2θ = 43.90°, rel. 21
2θ = 47.65°, rel. 28
2θ = 52.35°, rel. 23
2θ = 58.27°, rel. 17
2θ = 61.53°, rel. 26

Crystal structure
abc: 4.943 4.943 11.347
angles: 90.00 90.00 90.00
Fractional positions:
Ba1 0.000 0.500 0.241
Ba2 0.500 0.000 0.759
Tl1 0.000 0.000 0.500
In1 0.000 0.500 0.877
In2 0.500 0.000 0.123
In3 0.500 0.500 0.500
Ga1 0.000 0.000 0.000
Ga2 0.000 0.500 0.634
Ga3 0.500 0.000 0.366
Ga4 0.500 0.500 0.000

***

Entry 8:
Ba2Ga5Ir: theoretical X-ray powder pattern (Cu Kα X-rays), based on a PBE-relaxed structure.
Kinematic intensities with the Lorentz-polarization factor, no thermal factor.

Largest 10 diffraction maxima, sorted by position, 2θ = 5–70°:
2θ = 13.93°, rel. 48
2θ = 26.68°, rel. 100
2θ = 28.06°, rel. 20
2θ = 31.46°, rel. 45
2θ = 33.41°, rel. 57
2θ = 35.98°, rel. 48
2θ = 40.11°, rel. 59
2θ = 48.53°, rel. 27
2θ = 48.83°, rel. 25
2θ = 54.97°, rel. 47

Crystal structure
abc: 6.359 6.359 4.992
angles: 90.00 90.00 90.00
Fractional positions:
Ba1 0.000 0.500 0.000
Ba2 0.500 0.000 0.000
Ga1 0.000 0.000 0.000
Ga2 0.292 0.292 0.500
Ga3 0.292 0.708 0.500
Ga4 0.708 0.292 0.500
Ga5 0.708 0.708 0.500
Ir1 0.000 0.000 0.500

***

Entry 9:
Ba2LiGaIr: theoretical X-ray powder pattern (Cu Kα X-rays), based on a PBE-relaxed structure.
Kinematic intensities with the Lorentz-polarization factor, no thermal factor.

Largest 10 diffraction maxima, sorted by position, 2θ = 5–70°:
2θ = 14.42°, rel. 100
2θ = 18.18°, rel. 63
2θ = 29.07°, rel. 82
2θ = 32.59°, rel. 29
2θ = 34.50°, rel. 52
2θ = 36.84°, rel. 22
2θ = 41.58°, rel. 31
2θ = 45.72°, rel. 24
2θ = 47.60°, rel. 42
2θ = 56.75°, rel. 25

Crystal structure
abc: 6.143 6.143 4.879
angles: 90.00 90.00 90.00
Fractional positions:
Ba1 0.000 0.500 0.000
Ba2 0.500 0.000 0.000
Li1 0.000 0.000 0.500
Ga1 0.500 0.500 0.500
Ir1 0.500 0.500 0.000

***

Entry 10:
Ba3Ga4Ir2Pd2: theoretical X-ray powder pattern (Cu Kα X-rays), based on a PBE-relaxed structure.
Kinematic intensities with the Lorentz-polarization factor, no thermal factor.

Largest 10 diffraction maxima, sorted by position, 2θ = 5–70°:
2θ = 5.01°, rel. 69
2θ = 24.25°, rel. 17
2θ = 25.80°, rel. 42
2θ = 28.21°, rel. 100
2θ = 31.30°, rel. 66
2θ = 35.62°, rel. 42
2θ = 41.70°, rel. 93
2θ = 51.11°, rel. 19
2θ = 55.97°, rel. 67
2θ = 68.01°, rel. 16

Crystal structure
abc: 4.332 4.332 17.645
angles: 90.00 90.00 120.00
Fractional positions:
Ba1 0.000 0.000 0.000
Ba2 0.000 0.000 0.295
Ba3 0.000 0.000 0.705
Ga1 0.333 0.667 0.440
Ga2 0.333 0.667 0.856
Ga3 0.667 0.333 0.144
Ga4 0.667 0.333 0.560
Ir1 0.333 0.667 0.583
Ir2 0.667 0.333 0.417
Pd1 0.333 0.667 0.142
Pd2 0.667 0.333 0.858

***

Entry 11:
BaGa3IrPt: theoretical X-ray powder pattern (Cu Kα X-rays), based on a PBE-relaxed structure.
Kinematic intensities with the Lorentz-polarization factor, no thermal factor.

Largest 10 diffraction maxima, sorted by position, 2θ = 5–70°:
2θ = 14.84°, rel. 47
2θ = 23.92°, rel. 54
2θ = 28.13°, rel. 36
2θ = 29.07°, rel. 100
2θ = 29.93°, rel. 29
2θ = 37.25°, rel. 96
2θ = 42.21°, rel. 24
2θ = 45.39°, rel. 30
2θ = 48.50°, rel. 30
2θ = 50.37°, rel. 22

Crystal structure
abc: 7.035 7.035 6.345
angles: 90.00 90.00 116.15
Fractional positions:
Ba1 0.243 0.757 0.750
Ba2 0.757 0.243 0.250
Ga1 0.249 0.249 0.000
Ga2 0.249 0.249 0.500
Ga3 0.260 0.740 0.250
Ga4 0.740 0.260 0.750
Ga5 0.751 0.751 0.000
Ga6 0.751 0.751 0.500
Ir1 0.453 0.547 0.250
Ir2 0.547 0.453 0.750
Pt1 0.062 0.938 0.250
Pt2 0.938 0.062 0.750

***

Entry 12:
Ba2Zn6GaIr: theoretical X-ray powder pattern (Cu Kα X-rays), based on a PBE-relaxed structure.
Kinematic intensities with the Lorentz-polarization factor, no thermal factor.

Largest 10 diffraction maxima, sorted by position, 2θ = 5–70°:
2θ = 15.51°, rel. 18
2θ = 17.93°, rel. 13
2θ = 25.46°, rel. 81
2θ = 31.31°, rel. 41
2θ = 36.31°, rel. 100
2θ = 44.87°, rel. 35
2θ = 52.29°, rel. 69
2θ = 59.03°, rel. 16
2θ = 62.22°, rel. 15
2θ = 65.33°, rel. 23

Crystal structure
abc: 6.998 6.998 6.998
angles: 60.00 60.00 60.00
Fractional positions:
Ba1 0.250 0.250 0.250
Ba2 0.750 0.750 0.750
Zn1 0.246 0.246 0.754
Zn2 0.246 0.754 0.246
Zn3 0.246 0.754 0.754
Zn4 0.754 0.246 0.246
Zn5 0.754 0.246 0.754
Zn6 0.754 0.754 0.246
Ga1 0.500 0.500 0.500
Ir1 0.000 0.000 0.000

***

Entry 13:
KBa2Ga: theoretical X-ray powder pattern (Cu Kα X-rays), based on a PBE-relaxed structure.
Kinematic intensities with the Lorentz-polarization factor, no thermal factor.

Largest 10 diffraction maxima, sorted by position, 2θ = 5–70°:
2θ = 7.72°, rel. 100
2θ = 21.24°, rel. 17
2θ = 23.30°, rel. 17
2θ = 26.38°, rel. 57
2θ = 30.22°, rel. 48
2θ = 31.73°, rel. 52
2θ = 38.08°, rel. 23
2θ = 38.50°, rel. 18
2θ = 43.26°, rel. 18
2θ = 54.63°, rel. 22

Crystal structure
abc: 4.183 4.183 11.454
angles: 90.00 90.00 90.00
Fractional positions:
K1 0.000 0.000 0.000
Ba1 0.500 0.500 0.334
Ba2 0.500 0.500 0.666
Ga1 0.000 0.000 0.500